This entry pairs a crystal structure of Li2NiBO4 with its theoretical powder diffractogram. Radiation: copper Kα. Structure: a structure optimized by DFT (GGA+U).

```
data_Li2NiBO4
_chemical_formula_sum 'Li8 Ni4 B4 O16'
_cell_length_a 6.895
_cell_length_b 7.136
_cell_length_c 6.144
_cell_angle_alpha 90.00
_cell_angle_beta 90.00
_cell_angle_gamma 90.00
_space_group_name_H-M_alt 'C 2 2 21'
_space_group_IT_number 20
loop_
_space_group_symop_operation_xyz
'x,y,z'
'-x,-y,z+1/2'
'x,-y,-z'
'-x,y,-z+1/2'
'x+1/2,y+1/2,z'
'-x+1/2,-y+1/2,z+1/2'
'x+1/2,-y+1/2,-z'
'-x+1/2,y+1/2,-z+1/2'
loop_
_atom_site_label
_atom_site_fract_x
_atom_site_fract_y
_atom_site_fract_z
Li1 0.000 0.192 0.250
Li2 0.179 0.500 0.500
Ni1 0.000 0.188 0.750
B1 0.185 0.500 0.000
O1 0.053 0.332 0.991
O2 0.197 0.008 0.701
```

Most intense lines, 10 to 90 degrees two-theta, in order of rising 2θ:
2θ/deg, intensity, hkl
23.05, 100, 1 1 1
25.84, 19, 2 0 0
28.94, 15, 0 2 1
34.34, 30, 1 1 2
36.23, 39, 2 2 0
39.21, 15, 2 2 1
43.93, 14, 3 1 1
50.29, 19, 1 3 2
60.29, 13, 0 0 4
63.96, 17, 3 3 2